(1)
Theoretical powder XRD pattern
Compound: Ce6HoS8
Radiation: Cu Kα
Structure: a cell relaxed with PBE

Top 10 peaks for 2θ from 10° to 80°, in order of rising 2θ:
hkl 1 1 1, 13.5°, 6.555 Å, rel. 18; hkl 3 1 1, 26.0°, 3.423 Å, rel. 10; hkl 2 2 2, 27.2°, 3.278 Å, rel. 64; hkl 4 0 0, 31.5°, 2.839 Å, rel. 100; hkl 4 4 0, 45.2°, 2.007 Å, rel. 72; hkl 6 2 2, 53.5°, 1.712 Å, rel. 32; hkl 4 4 4, 56.1°, 1.639 Å, rel. 25; hkl 8 0 0, 65.8°, 1.419 Å, rel. 11; hkl 6 6 2, 72.6°, 1.302 Å, rel. 13; hkl 8 4 0, 74.8°, 1.269 Å, rel. 32

Crystal structure
```
data_Ce6HoS8
_chemical_formula_sum 'Ce24 Ho4 S32'
_space_group_name_H-M_alt 'F m -3 m'
_space_group_IT_number 225
_space_group_name_Hall '-F 4 2 3'
_cell_length_a 11.3542
_cell_length_b 11.3542
_cell_length_c 11.3542
_cell_angle_alpha 90.00
_cell_angle_beta 90.00
_cell_angle_gamma 90.00
loop_
_atom_site_label
_atom_site_type_symbol
_atom_site_fract_x
_atom_site_fract_y
_atom_site_fract_z
Ce1 Ce 0.0000 0.2500 0.2500
Ho1 Ho 0.0000 0.0000 0.0000
S1 S 0.0000 0.0000 0.2435
S2 S 0.2500 0.2500 0.2500
```

(2)
Theoretical powder XRD pattern
Compound: AcLa5SmHo2
Radiation: Cu Kα
Structure: a cell relaxed with PBE

Top 10 peaks for 2θ from 10° to 80°, in order of rising 2θ:
hkl 1 3 2, 26.6°, 3.349 Å, rel. 25; hkl 0 6 2, 28.6°, 3.121 Å, rel. 27; hkl 0 2 3, 28.7°, 3.106 Å, rel. 27; hkl 1 5 2, 30.4°, 2.941 Å, rel. 97; hkl 1 7 1, 31.4°, 2.852 Å, rel. 100; hkl 2 0 0, 31.6°, 2.833 Å, rel. 71; hkl 1 1 3, 32.3°, 2.775 Å, rel. 65; hkl 2 6 2, 43.1°, 2.098 Å, rel. 18; hkl 1 9 4, 53.2°, 1.721 Å, rel. 19; hkl 3 7 1, 56.1°, 1.639 Å, rel. 19

Crystal structure
```
data_AcLa5SmHo2
_chemical_formula_sum 'Ac4 La20 Sm4 Ho8'
_space_group_name_H-M_alt 'C m c 21'
_space_group_IT_number 36
_cell_length_a 5.6656
_cell_length_b 24.5931
_cell_length_c 9.6301
_cell_angle_alpha 90.00
_cell_angle_beta 90.00
_cell_angle_gamma 90.00
loop_
_space_group_symop_operation_xyz
'x,y,z'
'-x,-y,z+1/2'
'-x,y,z'
'x,-y,z+1/2'
'x+1/2,y+1/2,z'
'-x+1/2,-y+1/2,z+1/2'
'-x+1/2,y+1/2,z'
'x+1/2,-y+1/2,z+1/2'
loop_
_atom_site_label
_atom_site_type_symbol
_atom_site_fract_x
_atom_site_fract_y
_atom_site_fract_z
Ac1 Ac 0.0000 0.1035 0.0000
La1 La 0.0000 0.0253 0.3303
La2 La 0.0000 0.1061 0.6070
La3 La 0.0000 0.1877 0.3022
La4 La 0.0000 0.2403 0.9269
La5 La 0.0000 0.4926 0.1134
Sm1 Sm 0.0000 0.2703 0.6063
Ho1 Ho 0.0000 0.3270 0.2457
Ho2 Ho 0.0000 0.3883 0.8665
```

(3)
Theoretical powder XRD pattern
Compound: KRbSb
Radiation: Cu Kα
Structure: a cell relaxed with PBE

Top 10 peaks for 2θ from 10° to 80°, in order of rising 2θ:
hkl 0 0 1, 11.1°, 7.996 Å, rel. 37; hkl 2 0 -1, 16.9°, 5.240 Å, rel. 25; hkl 1 1 1, 22.2°, 4.000 Å, rel. 15; hkl 0 2 0, 28.8°, 3.100 Å, rel. 100; hkl 1 1 2, 31.0°, 2.889 Å, rel. 92; hkl 4 0 1, 42.8°, 2.113 Å, rel. 29; hkl 3 1 2, 44.8°, 2.021 Å, rel. 15; hkl 6 0 -2, 51.0°, 1.790 Å, rel. 20; hkl 4 2 1, 52.4°, 1.747 Å, rel. 24; hkl 1 3 2, 52.4°, 1.745 Å, rel. 12

Crystal structure
```
data_KRbSb
_chemical_formula_sum 'K4 Rb4 Sb4'
_space_group_name_H-M_alt 'C 1 2/m 1'
_space_group_IT_number 12
_cell_length_a 10.7511
_cell_length_b 6.1929
_cell_length_c 8.7644
_cell_angle_alpha 90.00
_cell_angle_beta 114.17
_cell_angle_gamma 90.00
loop_
_space_group_symop_operation_xyz
'x,y,z'
'-x,-y,-z'
'-x,y,-z'
'x,-y,z'
'x+1/2,y+1/2,z'
'-x+1/2,-y+1/2,-z'
'-x+1/2,y+1/2,-z'
'x+1/2,-y+1/2,z'
loop_
_atom_site_label
_atom_site_type_symbol
_atom_site_fract_x
_atom_site_fract_y
_atom_site_fract_z
K1 K 0.2056 0.0000 0.1193
Rb1 Rb 0.1344 0.5000 0.4050
Sb1 Sb 0.0633 0.0000 0.6871
```

(4)
Theoretical powder XRD pattern
Compound: Cd7Ga2
Radiation: Cu Kα
Structure: a cell relaxed with PBE

Top 10 peaks for 2θ from 10° to 80°, in order of rising 2θ:
hkl 0 0 3, 34.3°, 2.612 Å, rel. 35; hkl 1 1 1, 35.3°, 2.545 Å, rel. 100; hkl 2 -1 2, 40.7°, 2.218 Å, rel. 66; hkl 1 1 4, 58.3°, 1.584 Å, rel. 22; hkl 3 0 0, 59.5°, 1.554 Å, rel. 21; hkl 2 -1 5, 69.4°, 1.354 Å, rel. 13; hkl 3 0 3, 70.5°, 1.335 Å, rel. 24; hkl 4 -2 1, 71.1°, 1.326 Å, rel. 12; hkl 0 0 6, 72.4°, 1.306 Å, rel. 4; hkl 2 2 2, 74.6°, 1.272 Å, rel. 10

Crystal structure
```
data_Cd7Ga2
_chemical_formula_sum 'Cd7 Ga2'
_space_group_name_H-M_alt 'P -3 1 m'
_space_group_IT_number 162
_space_group_name_Hall '-P 3 2'
_cell_length_a 5.3818
_cell_length_b 5.3818
_cell_length_c 7.8350
_cell_angle_alpha 90.00
_cell_angle_beta 90.00
_cell_angle_gamma 120.00
loop_
_atom_site_label
_atom_site_type_symbol
_atom_site_fract_x
_atom_site_fract_y
_atom_site_fract_z
Cd1 Cd 0.0000 0.0000 0.0000
Cd2 Cd 0.0000 0.3327 0.6711
Ga1 Ga 0.3333 0.6667 0.0000
```

(5)
Theoretical powder XRD pattern
Compound: Cu4As2O9
Radiation: Cu Kα
Structure: a cell relaxed with PBE

Top 10 peaks for 2θ from 10° to 80°, in order of rising 2θ:
hkl 0 0 4, 25.4°, 3.512 Å, rel. 100; hkl 1 0 4, 27.6°, 3.236 Å, rel. 38; hkl 2 0 3, 28.7°, 3.111 Å, rel. 31; hkl 0 2 2, 30.2°, 2.957 Å, rel. 40; hkl 1 2 2, 32.1°, 2.787 Å, rel. 65; hkl 3 0 1, 32.9°, 2.722 Å, rel. 53; hkl 1 2 3, 35.2°, 2.547 Å, rel. 67; hkl 2 2 3, 40.1°, 2.251 Å, rel. 32; hkl 0 2 6, 47.8°, 1.902 Å, rel. 29; hkl 0 4 0, 56.4°, 1.630 Å, rel. 30

Crystal structure
```
data_Cu4As2O9
_chemical_formula_sum 'Cu16 As8 O36'
_space_group_name_H-M_alt 'P n m a'
_space_group_IT_number 62
_cell_length_a 8.3245
_cell_length_b 6.5210
_cell_length_c 14.0493
_cell_angle_alpha 90.00
_cell_angle_beta 90.00
_cell_angle_gamma 90.00
loop_
_space_group_symop_operation_xyz
'x,y,z'
'-x,-y,-z'
'-x+1/2,-y,z+1/2'
'x+1/2,y,-z+1/2'
'x+1/2,-y+1/2,-z+1/2'
'-x+1/2,y+1/2,z+1/2'
'-x,y+1/2,-z'
'x,-y+1/2,z'
loop_
_atom_site_label
_atom_site_type_symbol
_atom_site_fract_x
_atom_site_fract_y
_atom_site_fract_z
Cu1 Cu 0.0724 0.2500 0.0895
Cu2 Cu 0.1341 0.7500 0.4507
Cu3 Cu 0.1480 0.0077 0.6554
As1 As 0.0022 0.2500 0.8444
As2 As 0.1551 0.2500 0.4078
O1 O 0.0806 0.0245 0.3571
O2 O 0.1012 0.2500 0.5275
O3 O 0.1167 0.2500 0.7393
O4 O 0.1192 0.5343 0.1468
O5 O 0.1315 0.2500 0.9402
O6 O 0.1472 0.7500 0.8802
O7 O 0.1897 0.7500 0.5929
```

(6)
Theoretical powder XRD pattern
Compound: Er4HfN5
Radiation: Cu Kα
Structure: a cell relaxed with PBE

Top 5 peaks for 2θ from 10° to 80°, in order of rising 2θ:
hkl 2 1 1, 32.5°, 2.754 Å, rel. 100; hkl 0 0 2, 37.7°, 2.385 Å, rel. 70; hkl 1 3 2, 54.4°, 1.687 Å, rel. 47; hkl 5 0 1, 64.8°, 1.438 Å, rel. 44; hkl 4 2 2, 68.1°, 1.377 Å, rel. 16

Crystal structure
```
data_Er4HfN5
_chemical_formula_sum 'Er8 Hf2 N10'
_space_group_name_H-M_alt 'I 4/m'
_space_group_IT_number 87
_space_group_name_Hall '-I 4'
_cell_length_a 7.5396
_cell_length_b 7.5396
_cell_length_c 4.7755
_cell_angle_alpha 90.00
_cell_angle_beta 90.00
_cell_angle_gamma 90.00
loop_
_atom_site_label
_atom_site_type_symbol
_atom_site_fract_x
_atom_site_fract_y
_atom_site_fract_z
Er1 Er 0.1002 0.2995 0.0000
Hf1 Hf 0.0000 0.0000 0.5000
N1 N 0.0000 0.0000 0.0000
N2 N 0.0953 0.2863 0.5000
```

(7)
Theoretical powder XRD pattern
Compound: Er2Si2Tc
Radiation: Cu Kα
Structure: a cell relaxed with PBE

Top 10 peaks for 2θ from 10° to 80°, in order of rising 2θ:
hkl 1 1 0, 23.4°, 3.805 Å, rel. 60; hkl 2 0 -3, 27.1°, 3.294 Å, rel. 37; hkl 3 1 -1, 33.2°, 2.699 Å, rel. 54; hkl 3 1 -2, 33.7°, 2.656 Å, rel. 84; hkl 1 1 2, 33.9°, 2.641 Å, rel. 100; hkl 1 1 -3, 34.8°, 2.576 Å, rel. 46; hkl 3 1 -3, 37.3°, 2.413 Å, rel. 58; hkl 0 0 4, 41.0°, 2.204 Å, rel. 66; hkl 0 2 0, 43.5°, 2.079 Å, rel. 51; hkl 7 1 -3, 64.8°, 1.439 Å, rel. 31

Crystal structure
```
data_Er2Si2Tc
_chemical_formula_sum 'Er8 Si8 Tc4'
_space_group_name_H-M_alt 'C 1 2/m 1'
_space_group_IT_number 12
_cell_length_a 10.7382
_cell_length_b 4.1575
_cell_length_c 10.0175
_cell_angle_alpha 90.00
_cell_angle_beta 118.39
_cell_angle_gamma 90.00
loop_
_space_group_symop_operation_xyz
'x,y,z'
'-x,-y,-z'
'-x,y,-z'
'x,-y,z'
'x+1/2,y+1/2,z'
'-x+1/2,-y+1/2,-z'
'-x+1/2,y+1/2,-z'
'x+1/2,-y+1/2,z'
loop_
_atom_site_label
_atom_site_type_symbol
_atom_site_fract_x
_atom_site_fract_y
_atom_site_fract_z
Er1 Er 0.0055 0.0000 0.1777
Er2 Er 0.1869 0.0000 0.6096
Si1 Si 0.0030 0.5000 0.3784
Si2 Si 0.1405 0.5000 0.0598
Tc1 Tc 0.2273 0.5000 0.8699
```

(8)
Theoretical powder XRD pattern
Compound: Pm5Si2Ir
Radiation: Cu Kα
Structure: a cell relaxed with PBE

Top 10 peaks for 2θ from 10° to 80°, in order of rising 2θ:
hkl 0 0 2, 12.1°, 7.342 Å, rel. 40; hkl 0 1 1, 12.6°, 6.998 Å, rel. 18; hkl 0 2 2, 25.5°, 3.499 Å, rel. 20; hkl 1 0 3, 30.6°, 2.926 Å, rel. 70; hkl 0 2 4, 33.2°, 2.698 Å, rel. 78; hkl 1 2 1, 33.9°, 2.646 Å, rel. 100; hkl 1 0 5, 39.4°, 2.288 Å, rel. 40; hkl 1 2 7, 55.6°, 1.654 Å, rel. 23; hkl 2 2 4, 61.3°, 1.512 Å, rel. 27; hkl 1 2 9, 67.1°, 1.395 Å, rel. 19

Crystal structure
```
data_Pm5Si2Ir
_chemical_formula_sum 'Pm10 Si4 Ir2'
_space_group_name_H-M_alt 'I m m m'
_space_group_IT_number 71
_space_group_name_Hall '-I 2 2'
_cell_length_a 3.6496
_cell_length_b 7.9599
_cell_length_c 14.6845
_cell_angle_alpha 90.00
_cell_angle_beta 90.00
_cell_angle_gamma 90.00
loop_
_atom_site_label
_atom_site_type_symbol
_atom_site_fract_x
_atom_site_fract_y
_atom_site_fract_z
Pm1 Pm 0.0000 0.0000 0.0000
Pm2 Pm 0.0000 0.2062 0.3723
Si1 Si 0.0000 0.0000 0.2001
Ir1 Ir 0.0000 0.5000 0.0000
```

(9)
Theoretical powder XRD pattern
Compound: Cu4Te3
Radiation: Cu Kα
Structure: a cell relaxed with PBE

Top 10 peaks for 2θ from 10° to 80°, in order of rising 2θ:
hkl 1 0 0, 16.4°, 5.401 Å, rel. 21; hkl 1 1 0, 23.3°, 3.819 Å, rel. 18; hkl 2 0 0, 33.2°, 2.700 Å, rel. 100; hkl 2 1 0, 37.2°, 2.415 Å, rel. 11; hkl 2 1 1, 40.9°, 2.205 Å, rel. 8; hkl 2 2 0, 47.6°, 1.909 Å, rel. 71; hkl 3 0 0, 50.7°, 1.800 Å, rel. 5; hkl 2 2 2, 59.3°, 1.559 Å, rel. 24; hkl 4 0 0, 69.6°, 1.350 Å, rel. 11; hkl 4 2 0, 79.3°, 1.208 Å, rel. 30

Crystal structure
```
data_Cu4Te3
_chemical_formula_sum 'Cu4 Te3'
_space_group_name_H-M_alt 'P m -3 m'
_space_group_IT_number 221
_space_group_name_Hall '-P 4 2 3'
_cell_length_a 5.4005
_cell_length_b 5.4005
_cell_length_c 5.4005
_cell_angle_alpha 90.00
_cell_angle_beta 90.00
_cell_angle_gamma 90.00
loop_
_atom_site_label
_atom_site_type_symbol
_atom_site_fract_x
_atom_site_fract_y
_atom_site_fract_z
Cu1 Cu 0.0000 0.0000 0.0000
Cu2 Cu 0.0000 0.5000 0.5000
Te1 Te 0.0000 0.0000 0.5000
```

(10)
Theoretical powder XRD pattern
Compound: AcTb5PmY2
Radiation: Cu Kα
Structure: a cell relaxed with PBE

Top 10 peaks for 2θ from 10° to 80°, in order of rising 2θ:
hkl 1 1 0, 16.3°, 5.428 Å, rel. 15; hkl 1 3 2, 27.3°, 3.271 Å, rel. 19; hkl 0 6 2, 29.4°, 3.042 Å, rel. 17; hkl 0 2 3, 29.6°, 3.020 Å, rel. 16; hkl 1 5 2, 31.1°, 2.872 Å, rel. 72; hkl 2 0 0, 32.1°, 2.788 Å, rel. 100; hkl 1 1 3, 33.1°, 2.705 Å, rel. 43; hkl 2 6 2, 44.1°, 2.055 Å, rel. 11; hkl 2 2 3, 44.2°, 2.048 Å, rel. 11; hkl 3 5 2, 56.7°, 1.625 Å, rel. 15

Crystal structure
```
data_AcTb5PmY2
_chemical_formula_sum 'Ac4 Tb20 Pm4 Y8'
_space_group_name_H-M_alt 'C m c 21'
_space_group_IT_number 36
_cell_length_a 5.5722
_cell_length_b 24.0172
_cell_length_c 9.3601
_cell_angle_alpha 90.00
_cell_angle_beta 90.00
_cell_angle_gamma 90.00
loop_
_space_group_symop_operation_xyz
'x,y,z'
'-x,-y,z+1/2'
'-x,y,z'
'x,-y,z+1/2'
'x+1/2,y+1/2,z'
'-x+1/2,-y+1/2,z+1/2'
'-x+1/2,y+1/2,z'
'x+1/2,-y+1/2,z+1/2'
loop_
_atom_site_label
_atom_site_type_symbol
_atom_site_fract_x
_atom_site_fract_y
_atom_site_fract_z
Ac1 Ac 0.0000 0.1022 0.0000
Tb1 Tb 0.0000 0.0235 0.3168
Tb2 Tb 0.0000 0.1020 0.5981
Tb3 Tb 0.0000 0.1918 0.2987
Tb4 Tb 0.0000 0.2424 0.9378
Tb5 Tb 0.0000 0.4929 0.0901
Pm1 Pm 0.0000 0.2595 0.6097
Y1 Y 0.0000 0.3318 0.2478
Y2 Y 0.0000 0.3875 0.8499
```

(11)
Theoretical powder XRD pattern
Compound: SrZn2Cu2
Radiation: Cu Kα
Structure: a cell relaxed with PBE

Top 10 peaks for 2θ from 10° to 80°, in order of rising 2θ:
hkl 1 0 1, 18.3°, 4.853 Å, rel. 42; hkl 0 2 0, 31.9°, 2.802 Å, rel. 68; hkl 1 -1 2, 33.7°, 2.661 Å, rel. 41; hkl 2 1 0, 34.2°, 2.618 Å, rel. 100; hkl 2 1 2, 34.4°, 2.603 Å, rel. 100; hkl -1 1 1, 38.1°, 2.363 Å, rel. 69; hkl 1 2 2, 38.3°, 2.348 Å, rel. 71; hkl 2 -1 2, 45.9°, 1.977 Å, rel. 47; hkl 2 3 0, 46.0°, 1.972 Å, rel. 37; hkl 0 3 -1, 48.8°, 1.868 Å, rel. 50

Crystal structure
```
data_SrZn2Cu2
_chemical_formula_sum 'Sr2 Zn4 Cu4'
_space_group_name_H-M_alt 'P -1'
_space_group_IT_number 2
_cell_length_a 5.7625
_cell_length_b 6.3482
_cell_length_c 6.8609
_cell_angle_alpha 86.33
_cell_angle_beta 65.55
_cell_angle_gamma 63.26
loop_
_space_group_symop_operation_xyz
'x,y,z'
'-x,-y,-z'
loop_
_atom_site_label
_atom_site_type_symbol
_atom_site_fract_x
_atom_site_fract_y
_atom_site_fract_z
Sr1 Sr 0.1310 0.2492 0.2513
Zn1 Zn 0.2305 0.1265 0.7178
Zn2 Zn 0.4334 0.6243 0.2141
Cu1 Cu 0.2271 0.8093 0.9599
Cu2 Cu 0.4953 0.6921 0.5414
```

(12)
Theoretical powder XRD pattern
Compound: Pm2Nd2CuRh4
Radiation: Cu Kα
Structure: a cell relaxed with PBE

Top 10 peaks for 2θ from 10° to 80°, in order of rising 2θ:
hkl 2 0 0, 25.9°, 3.442 Å, rel. 7; hkl 2 0 2, 33.8°, 2.654 Å, rel. 100; hkl 1 0 3, 34.8°, 2.576 Å, rel. 11; hkl 2 2 0, 36.9°, 2.434 Å, rel. 60; hkl 0 0 4, 43.4°, 2.083 Å, rel. 12; hkl 2 1 3, 43.9°, 2.062 Å, rel. 15; hkl 4 0 0, 53.2°, 1.721 Å, rel. 20; hkl 2 2 4, 58.3°, 1.583 Å, rel. 19; hkl 4 2 2, 64.5°, 1.444 Å, rel. 30; hkl 4 0 4, 71.0°, 1.327 Å, rel. 10

Crystal structure
```
data_Pm2Nd2CuRh4
_chemical_formula_sum 'Pm4 Nd4 Cu2 Rh8'
_space_group_name_H-M_alt 'I 4/m m m'
_space_group_IT_number 139
_space_group_name_Hall '-I 4 2'
_cell_length_a 6.8840
_cell_length_b 6.8840
_cell_length_c 8.3332
_cell_angle_alpha 90.00
_cell_angle_beta 90.00
_cell_angle_gamma 90.00
loop_
_atom_site_label
_atom_site_type_symbol
_atom_site_fract_x
_atom_site_fract_y
_atom_site_fract_z
Pm1 Pm 0.0000 0.5000 0.2500
Nd1 Nd 0.0000 0.0000 0.1954
Cu1 Cu 0.0000 0.0000 0.5000
Rh1 Rh 0.2415 0.2415 0.0000
```